(1)
# EuOsO3
Theoretical X-ray powder pattern, Cu Kα X-rays. Input: the PBE geometry in the Materials Project.
Kinematic intensities with the Lorentz-polarization factor, no thermal factor.

Peak list (8 most intense, 2θ from 10° to 80°, by intensity)
two_theta, Rel. int.
31.73, 100.0
56.51, 40.1
45.48, 26.6
75.35, 17.6
66.28, 16.7
22.29, 3.1
51.21, 1.2
70.88, 0.5

Structural model:
abc: 3.9887 3.9887 3.9887
angles: 90.00 90.00 90.00
Sites, in units of the cell vectors:
Eu1 0.0000 0.0000 0.0000
Os1 0.5000 0.5000 0.5000
O1 0.0000 0.5000 0.5000
O2 0.5000 0.0000 0.5000
O3 0.5000 0.5000 0.0000

(2)
# EuPO4
Theoretical X-ray powder pattern, Cu Kα X-rays. Input: the PBE geometry in the Materials Project.
Kinematic intensities with the Lorentz-polarization factor, no thermal factor.

Peak list (10 most intense, 2θ from 10° to 80°, by intensity)
two_theta, Rel. int.
28.75, 100.0
31.12, 89.1
26.93, 58.9
21.15, 47.9
41.95, 45.3
46.18, 32.0
52.50, 30.5
48.39, 27.2
18.92, 26.6
41.09, 23.9

Structural model:
abc: 6.4867 7.0320 8.2003
angles: 90.00 126.15 90.00
Sites, in units of the cell vectors:
Eu1 0.1850 0.1570 0.2827
Eu2 0.1850 0.3430 0.7827
Eu3 0.8150 0.6570 0.2173
Eu4 0.8150 0.8430 0.7173
P1 0.3068 0.6616 0.1955
P2 0.3068 0.8384 0.6955
P3 0.6932 0.1616 0.3045
P4 0.6932 0.3384 0.8045
O1 0.1191 0.6671 0.6171
O2 0.1191 0.8329 0.1171
O3 0.1877 0.5051 0.2491
O4 0.1877 0.9949 0.7491
O5 0.3369 0.6016 0.0284
O6 0.3369 0.8984 0.5284
O7 0.4160 0.2105 0.1249
O8 0.4160 0.2895 0.6249
O9 0.5840 0.7105 0.3751
O10 0.5840 0.7895 0.8751
O11 0.6631 0.1016 0.4716
O12 0.6631 0.3984 0.9716
O13 0.8123 0.0051 0.2509
O14 0.8123 0.4949 0.7509
O15 0.8809 0.1671 0.8829
O16 0.8809 0.3329 0.3829

(3)
# Eu5P3O13
Theoretical X-ray powder pattern, Cu Kα X-rays. Input: the PBE geometry in the Materials Project.
Kinematic intensities with the Lorentz-polarization factor, no thermal factor.

Peak list (10 most intense, 2θ from 10° to 80°, by intensity)
two_theta, Rel. int.
30.60, 100.0
26.64, 29.7
27.96, 26.5
46.99, 24.5
44.74, 20.1
31.80, 18.3
49.48, 18.3
49.94, 16.7
21.05, 16.6
73.03, 12.6

Structural model:
abc: 9.7474 9.7474 7.2891
angles: 90.00 90.00 120.00
Sites, in units of the cell vectors:
Eu1 0.0098 0.2352 0.2500
Eu2 0.2254 0.9902 0.2500
Eu3 0.2352 0.2254 0.7500
Eu4 0.3333 0.6667 0.5006
Eu5 0.3333 0.6667 0.9994
Eu6 0.6667 0.3333 0.0006
Eu7 0.6667 0.3333 0.4994
Eu8 0.7648 0.7746 0.2500
Eu9 0.7746 0.0098 0.7500
Eu10 0.9902 0.7648 0.7500
P1 0.0310 0.4005 0.7500
P2 0.3695 0.9690 0.7500
P3 0.4005 0.3695 0.2500
P4 0.5995 0.6305 0.7500
P5 0.6305 0.0310 0.2500
P6 0.9690 0.5995 0.2500
O1 0.0000 0.0000 0.2500
O2 0.0000 0.0000 0.7500
O3 0.0844 0.3460 0.5768
O4 0.0844 0.3460 0.9232
O5 0.1196 0.5850 0.7500
O6 0.1517 0.6715 0.2500
O7 0.2615 0.9156 0.5768
O8 0.2615 0.9156 0.9232
O9 0.3285 0.4803 0.2500
O10 0.3460 0.2615 0.0768
O11 0.3460 0.2615 0.4232
O12 0.4150 0.5346 0.7500
O13 0.4654 0.8804 0.7500
O14 0.4803 0.1517 0.7500
O15 0.5197 0.8483 0.2500
O16 0.5346 0.1196 0.2500
O17 0.5850 0.4654 0.2500
O18 0.6540 0.7385 0.5768
O19 0.6540 0.7385 0.9232
O20 0.6715 0.5197 0.7500
O21 0.7385 0.0844 0.0768
O22 0.7385 0.0844 0.4232
O23 0.8483 0.3285 0.7500
O24 0.8804 0.4150 0.2500
O25 0.9156 0.6540 0.0768
O26 0.9156 0.6540 0.4232

(4)
# RbEuPO4
Theoretical X-ray powder pattern, Cu Kα X-rays. Input: the PBE geometry in the Materials Project.
Kinematic intensities with the Lorentz-polarization factor, no thermal factor.

Peak list (10 most intense, 2θ from 10° to 80°, by intensity)
two_theta, Rel. int.
28.19, 100.0
26.18, 85.1
29.52, 64.6
32.38, 48.0
43.44, 33.4
30.37, 30.3
18.16, 23.9
52.68, 22.7
43.87, 20.6
35.99, 17.9

Structural model:
abc: 7.7099 5.5297 10.4287
angles: 90.00 90.00 90.00
Sites, in units of the cell vectors:
Rb1 0.1423 0.2500 0.0693
Rb2 0.3577 0.7500 0.5693
Rb3 0.6423 0.2500 0.4307
Rb4 0.8577 0.7500 0.9307
Eu1 0.0341 0.2500 0.6737
Eu2 0.4659 0.7500 0.1737
Eu3 0.5341 0.2500 0.8263
Eu4 0.9659 0.7500 0.3263
P1 0.2028 0.2500 0.3931
P2 0.2972 0.7500 0.8931
P3 0.7028 0.2500 0.1069
P4 0.7972 0.7500 0.6069
O1 0.0029 0.2500 0.4174
O2 0.2066 0.7500 0.0273
O3 0.2472 0.5169 0.8171
O4 0.2472 0.9831 0.8171
O5 0.2528 0.0169 0.3170
O6 0.2528 0.4831 0.3170
O7 0.2934 0.2500 0.5273
O8 0.4971 0.7500 0.9174
O9 0.5029 0.2500 0.0826
O10 0.7066 0.7500 0.4727
O11 0.7472 0.5169 0.6829
O12 0.7472 0.9831 0.6829
O13 0.7528 0.0169 0.1830
O14 0.7528 0.4831 0.1830
O15 0.7934 0.2500 0.9727
O16 0.9971 0.7500 0.5826

(5)
# Eu2Pb2O7
Theoretical X-ray powder pattern, Cu Kα X-rays. Input: the PBE geometry in the Materials Project.
Kinematic intensities with the Lorentz-polarization factor, no thermal factor.

Peak list (10 most intense, 2θ from 10° to 80°, by intensity)
two_theta, Rel. int.
29.07, 100.0
48.38, 47.0
57.44, 45.3
33.69, 37.0
78.32, 18.9
60.25, 10.8
70.83, 7.2
27.80, 3.0
14.42, 2.7
67.62, 1.0

Structural model:
abc: 7.5251 7.5251 7.5251
angles: 60.00 60.00 60.00
Sites, in units of the cell vectors:
Eu1 0.0000 0.0000 0.0000
Eu2 0.0000 0.0000 0.5000
Eu3 0.0000 0.5000 0.0000
Eu4 0.5000 0.0000 0.0000
Pb1 0.0000 0.5000 0.5000
Pb2 0.5000 0.0000 0.5000
Pb3 0.5000 0.5000 0.0000
Pb4 0.5000 0.5000 0.5000
O1 0.1250 0.1250 0.1250
O2 0.1574 0.1574 0.5926
O3 0.1574 0.5926 0.1574
O4 0.1574 0.5926 0.5926
O5 0.4074 0.4074 0.8426
O6 0.4074 0.8426 0.4074
O7 0.4074 0.8426 0.8426
O8 0.5926 0.1574 0.1574
O9 0.5926 0.1574 0.5926
O10 0.5926 0.5926 0.1574
O11 0.8426 0.4074 0.4074
O12 0.8426 0.4074 0.8426
O13 0.8426 0.8426 0.4074
O14 0.8750 0.8750 0.8750

Q: Which formula does entry 3 have?
A: Eu5P3O13

Copy entry 5 word for word.
# Eu2Pb2O7
Theoretical X-ray powder pattern, Cu Kα X-rays. Input: the PBE geometry in the Materials Project.
Kinematic intensities with the Lorentz-polarization factor, no thermal factor.

Peak list (10 most intense, 2θ from 10° to 80°, by intensity)
two_theta, Rel. int.
29.07, 100.0
48.38, 47.0
57.44, 45.3
33.69, 37.0
78.32, 18.9
60.25, 10.8
70.83, 7.2
27.80, 3.0
14.42, 2.7
67.62, 1.0

Structural model:
abc: 7.5251 7.5251 7.5251
angles: 60.00 60.00 60.00
Sites, in units of the cell vectors:
Eu1 0.0000 0.0000 0.0000
Eu2 0.0000 0.0000 0.5000
Eu3 0.0000 0.5000 0.0000
Eu4 0.5000 0.0000 0.0000
Pb1 0.0000 0.5000 0.5000
Pb2 0.5000 0.0000 0.5000
Pb3 0.5000 0.5000 0.0000
Pb4 0.5000 0.5000 0.5000
O1 0.1250 0.1250 0.1250
O2 0.1574 0.1574 0.5926
O3 0.1574 0.5926 0.1574
O4 0.1574 0.5926 0.5926
O5 0.4074 0.4074 0.8426
O6 0.4074 0.8426 0.4074
O7 0.4074 0.8426 0.8426
O8 0.5926 0.1574 0.1574
O9 0.5926 0.1574 0.5926
O10 0.5926 0.5926 0.1574
O11 0.8426 0.4074 0.4074
O12 0.8426 0.4074 0.8426
O13 0.8426 0.8426 0.4074
O14 0.8750 0.8750 0.8750